Starting from a DFT-relaxed cell (GGA-PBE, OQMD), the powder X-ray diffraction pattern of DyEr6Te2Pt2 was simulated for Cu Kα (weighted mean of Kα1 and Kα2).
Neutral-atom scattering factors, no anomalous dispersion.

Structure:
Cell: 9.357 9.357 9.357 Å, 155.73 66.93 118.70°
Sites, in units of the cell vectors:
1 Dy 0.000 0.000 0.000
2 Er 0.287 0.417 0.870
3 Er 0.308 0.625 0.683
4 Er 0.548 0.417 0.130
5 Er 0.621 0.266 0.355
6 Er 0.912 0.266 0.645
7 Er 0.942 0.625 0.317
8 Te 0.265 0.765 0.500
9 Te 0.663 0.663 0.000
10 Pt 0.166 0.928 0.238
11 Pt 0.690 0.928 0.762

Peak list (8 most intense, 10 to 90 degrees two-theta, in order of rising 2θ)
- 2θ 29.99, d = 2.979 Å, rel. 365
- 2θ 33.01, d = 2.714 Å, rel. 434
- 2θ 33.69, d = 2.661 Å, rel. 1000
- 2θ 34.20, d = 2.622 Å, rel. 393
- 2θ 36.33, d = 2.473 Å, rel. 215
- 2θ 38.17, d = 2.358 Å, rel. 271
- 2θ 46.15, d = 1.967 Å, rel. 262
- 2θ 57.93, d = 1.592 Å, rel. 225

Starting from a DFT-relaxed cell (GGA-PBE, OQMD), the powder X-ray diffraction pattern of Dy2Er3S7 was simulated for Cu Kα (weighted mean of Kα1 and Kα2).
Neutral-atom scattering factors, no anomalous dispersion.

Structure:
Cell: 6.664 6.664 11.554 Å, 103.99 103.99 32.95°
Sites, in units of the cell vectors:
1 Dy 0.112 0.112 0.421
2 Dy 0.888 0.888 0.579
3 Er 0.000 0.000 0.000
4 Er 0.300 0.300 0.186
5 Er 0.700 0.700 0.814
6 S 0.042 0.042 0.786
7 S 0.258 0.258 0.649
8 S 0.341 0.341 0.949
9 S 0.500 0.500 0.500
10 S 0.659 0.659 0.051
11 S 0.742 0.742 0.351
12 S 0.958 0.958 0.214

Peak list (8 most intense, 10 to 90 degrees two-theta, in order of rising 2θ)
- 2θ 24.00, d = 3.708 Å, rel. 849
- 2θ 24.59, d = 3.620 Å, rel. 1000
- 2θ 26.46, d = 3.368 Å, rel. 325
- 2θ 27.93, d = 3.194 Å, rel. 392
- 2θ 31.74, d = 2.819 Å, rel. 332
- 2θ 33.40, d = 2.683 Å, rel. 463
- 2θ 34.47, d = 2.602 Å, rel. 373
- 2θ 42.31, d = 2.136 Å, rel. 282

Starting from a DFT-relaxed cell (GGA-PBE, OQMD), the powder X-ray diffraction pattern of Dy3ErSb4 was simulated for Cu Kα (weighted mean of Kα1 and Kα2).
Neutral-atom scattering factors, no anomalous dispersion.

Structure:
Cell: 6.183 6.183 6.183 Å, 90.00 90.00 90.00°
Sites, in units of the cell vectors:
1 Dy 0.000 0.000 0.500
2 Dy 0.000 0.500 0.000
3 Dy 0.500 0.000 0.000
4 Er 0.500 0.500 0.500
5 Sb 0.000 0.000 0.000
6 Sb 0.000 0.500 0.500
7 Sb 0.500 0.000 0.500
8 Sb 0.500 0.500 0.000

Peak list (8 most intense, 10 to 90 degrees two-theta, in order of rising 2θ)
- 2θ 24.94, d = 3.570 Å, rel. 38
- 2θ 28.88, d = 3.092 Å, rel. 1000
- 2θ 41.30, d = 2.186 Å, rel. 761
- 2θ 51.18, d = 1.785 Å, rel. 271
- 2θ 59.83, d = 1.546 Å, rel. 127
- 2θ 67.78, d = 1.383 Å, rel. 348
- 2θ 75.30, d = 1.262 Å, rel. 258
- 2θ 89.71, d = 1.093 Å, rel. 86

Starting from a DFT-relaxed cell (GGA-PBE, OQMD), the powder X-ray diffraction pattern of DyErSc2Sb2 was simulated for Cu Kα (weighted mean of Kα1 and Kα2).
Neutral-atom scattering factors, no anomalous dispersion.

Structure:
Cell: 4.330 4.330 16.231 Å, 90.00 90.00 90.00°
Sites, in units of the cell vectors:
1 Dy 0.000 0.000 0.000
2 Dy 0.500 0.500 0.500
3 Er 0.000 0.000 0.648
4 Er 0.500 0.500 0.148
5 Sc 0.000 0.500 0.324
6 Sc 0.000 0.500 0.824
7 Sc 0.500 0.000 0.324
8 Sc 0.500 0.000 0.824
9 Sb 0.000 0.000 0.192
10 Sb 0.000 0.000 0.456
11 Sb 0.500 0.500 0.692
12 Sb 0.500 0.500 0.956

Peak list (8 most intense, 10 to 90 degrees two-theta, in order of rising 2θ)
- 2θ 29.17, d = 3.062 Å, rel. 1000
- 2θ 31.22, d = 2.865 Å, rel. 695
- 2θ 33.12, d = 2.705 Å, rel. 333
- 2θ 34.53, d = 2.597 Å, rel. 760
- 2θ 36.77, d = 2.444 Å, rel. 838
- 2θ 41.72, d = 2.165 Å, rel. 718
- 2θ 54.27, d = 1.690 Å, rel. 347
- 2θ 55.21, d = 1.664 Å, rel. 599